For Ho5GeS4, a crystal structure in Alexandria, relaxed with GGA-PBE gives the calculated powder diffractogram in this record (Cu Kα X-rays).
Intensities are scaled so that the largest is 100.

Most intense lines, 10° ≤ 2θ ≤ 90°, sorted by position:
| (hkl) | Position (°2θ) | d/Å | I_rel |
| --- | --- | --- | --- |
| 2 1 1 | 27.7 | 3.219 | 92 |
| 1 3 0 | 32.1 | 2.791 | 92 |
| 0 0 2 | 32.2 | 2.782 | 46 |
| 4 2 0 | 46.0 | 1.971 | 100 |
| 5 0 1 | 54.5 | 1.683 | 30 |
| 2 1 3 | 54.7 | 1.679 | 15 |
| 4 2 2 | 57.2 | 1.610 | 35 |
| 7 1 0 | 76.3 | 1.248 | 30 |
| 1 3 4 | 76.5 | 1.245 | 15 |
| 7 1 2 | 85.2 | 1.139 | 23 |

Structure:
Cell lengths 8.8262, 8.8262, 5.5642 Å; angles 90.00, 90.00, 90.00 degrees
Space group I4/m (No. 87)
Asymmetric unit:
Ho 0.0000 0.0000 0.0000 [2 per cell]
Ho 0.1002 0.3002 0.5000 [8 per cell]
Ge 0.0000 0.0000 0.5000 [2 per cell]
S 0.1006 0.3016 0.0000 [8 per cell]